Theoretical X-ray powder pattern
Compound: Dy4TlGeSe2
Radiation: Cu Kα
Structure: a crystal structure in Alexandria, relaxed with GGA-PBE

Structural model:
```
data_Dy4TlGeSe2
_cell_length_a 5.9174
_cell_length_b 5.9174
_cell_length_c 11.8442
_cell_angle_alpha 90.00
_cell_angle_beta 90.00
_cell_angle_gamma 90.00
_symmetry_space_group_name_H-M 'I -4 m 2'
_symmetry_Int_Tables_number 119
_symmetry_space_group_name_Hall 'I -4 -2'
loop_
_atom_site_label
_atom_site_type_symbol
_atom_site_fract_x
_atom_site_fract_y
_atom_site_fract_z
Dy1 Dy 0.0000 0.0000 0.2416
Dy2 Dy 0.0000 0.5000 0.0024
Tl1 Tl 0.0000 0.0000 0.5000
Ge1 Ge 0.0000 0.5000 0.2500
Se1 Se 0.0000 0.0000 0.0000
Se2 Se 0.0000 0.5000 0.7500
```

Largest 8 diffraction maxima, most intense first, 2θ = 5–70°:
two_theta  intensity  hkl
30.20  100  2 0 0
43.23  75  2 2 0
53.64  26  2 2 4
62.80  12  4 0 0
26.08  7  1 1 2
16.75  5  1 0 1
27.15  4  1 0 3
51.19  3  3 1 2